Computed PXRD pattern of KRbAs2O6 for Cu Kα, from a structure optimized by DFT (PBE).

Crystal structure
Cell lengths 11.6729, 12.0272, 5.1456 Å; angles 90.00, 90.13, 90.00 degrees
Space group C2/c (No. 15)
Asymmetric unit:
K 0.0000 0.1092 0.2500 x4
Rb 0.0000 0.3137 0.7500 x4
As 0.2311 0.4144 0.2795 x8
O 0.1259 0.0941 0.7354 x8
O 0.1437 0.3071 0.2272 x8
O 0.1828 0.4661 0.5922 x8

Main lines, sorted by position (2θ = 10–80°):
2θ = 21.21°, I 33.8, (2 2 0); 2θ = 22.74°, I 9.2, (0 2 1); 2θ = 27.46°, I 100.0, (2 2 1); 2θ = 29.72°, I 18.7, (0 4 0); 2θ = 30.64°, I 13.2, (4 0 0); 2θ = 34.55°, I 15.2, (0 4 1); 2θ = 34.87°, I 25.3, (0 0 2); 2θ = 46.85°, I 15.6, (4 4 1); 2θ = 48.46°, I 10.3, (5 3 -1); 2θ = 52.55°, I 11.1, (6 2 1)

Computed PXRD pattern of Sm2ErTe4 for Cu Kα, from a structure optimized by DFT (PBE).

Crystal structure
Cell lengths 4.2507, 14.5830, 15.1508 Å; angles 90.00, 90.00, 90.00 degrees
Space group Cmcm (No. 63)
Asymmetric unit:
Sm 0.0000 0.1316 0.0705 x8
Er 0.0000 0.3715 0.2500 x4
Te 0.0000 0.0246 0.2500 x4
Te 0.0000 0.2181 0.6250 x8
Te 0.0000 0.5000 0.0000 x4

Main lines, sorted by position (2θ = 10–80°):
2θ = 21.40°, I 55.6, (0 2 3); 2θ = 26.52°, I 60.1, (0 2 4); 2θ = 28.51°, I 68.3, (1 3 1); 2θ = 30.32°, I 100.0, (1 3 2); 2θ = 36.77°, I 20.6, (1 3 4); 2θ = 36.95°, I 56.1, (1 1 5); 2θ = 39.31°, I 33.8, (1 5 2); 2θ = 41.22°, I 42.2, (0 6 3); 2θ = 42.54°, I 35.4, (2 0 0); 2θ = 60.72°, I 26.8, (2 6 3)

- Which formula does entry 1 have?
  KRbAs2O6